# Sm2GdCo2B2N3
Theoretical powder XRD pattern, CuKα. Input: DFT lattice parameters and positions (GGA-PBE).
Neutral-atom scattering factors, no anomalous dispersion.

Main lines, by angle (2θ = 10–90°):
| 2θ/deg | I (rel.) |
| --- | --- |
| 28.5 | 100 |
| 33.8 | 71 |
| 35.7 | 39 |
| 36.1 | 47 |
| 36.9 | 38 |
| 40.2 | 29 |
| 45.3 | 25 |
| 51.4 | 36 |
| 51.7 | 23 |
| 59.8 | 27 |
| 63.0 | 24 |
| 64.5 | 33 |

Crystal structure
Cell: 3.5535 3.5535 19.8819 Å, 90.00 90.00 90.00°
Space group I4/mmm (No. 139)
Inequivalent atoms, fractional coordinates:
Sm 0.0000 0.0000 0.1261 (multiplicity 4)
Gd 0.0000 0.0000 0.5000 (multiplicity 2)
Co 0.0000 0.5000 0.2500 (multiplicity 4)
B 0.0000 0.0000 0.3043 (multiplicity 4)
N 0.0000 0.0000 0.0000 (multiplicity 2)
N 0.0000 0.0000 0.3798 (multiplicity 4)

***

# MgCuSnAu
Theoretical powder XRD pattern, CuKα. Input: DFT lattice parameters and positions (GGA-PBE).
Neutral-atom scattering factors, no anomalous dispersion.

Main lines, by angle (2θ = 10–90°):
| 2θ/deg | I (rel.) |
| --- | --- |
| 23.2 | 11 |
| 26.8 | 36 |
| 38.3 | 100 |
| 45.2 | 6 |
| 47.4 | 11 |
| 55.3 | 17 |
| 60.7 | 2 |
| 62.5 | 15 |
| 69.2 | 35 |
| 82.0 | 11 |
| 86.6 | 2 |
| 88.2 | 9 |

Crystal structure
Cell: 6.6493 6.6493 6.6493 Å, 90.00 90.00 90.00°
Space group F-43m (No. 216)
Inequivalent atoms, fractional coordinates:
Mg 0.0000 0.0000 0.0000 (multiplicity 4)
Cu 0.0000 0.0000 0.5000 (multiplicity 4)
Sn 0.2500 0.2500 0.2500 (multiplicity 4)
Au 0.2500 0.2500 0.7500 (multiplicity 4)

***

# Ta4Pd3Se12
Theoretical powder XRD pattern, CuKα. Input: DFT lattice parameters and positions (GGA-PBE).
Neutral-atom scattering factors, no anomalous dispersion.

Main lines, by angle (2θ = 10–90°):
| 2θ/deg | I (rel.) |
| --- | --- |
| 12.8 | 100 |
| 13.7 | 69 |
| 31.3 | 24 |
| 32.1 | 20 |
| 34.3 | 73 |
| 35.9 | 15 |
| 36.9 | 19 |
| 39.0 | 30 |
| 41.6 | 19 |
| 43.5 | 18 |
| 47.6 | 15 |
| 51.9 | 20 |

Crystal structure
Cell: 13.7913 3.5219 19.4961 Å, 90.00 110.34 90.00°
Space group C2/m (No. 12)
Inequivalent atoms, fractional coordinates:
Ta 0.0208 0.0000 0.1501 (multiplicity 4)
Ta 0.1586 0.0000 0.4078 (multiplicity 4)
Pd 0.0000 0.5000 0.0000 (multiplicity 2)
Pd 0.0452 0.5000 0.2826 (multiplicity 4)
Se 0.0211 0.5000 0.4061 (multiplicity 4)
Se 0.0926 0.0000 0.7721 (multiplicity 4)
Se 0.1142 0.5000 0.9267 (multiplicity 4)
Se 0.1418 0.5000 0.1198 (multiplicity 4)
Se 0.1821 0.0000 0.2801 (multiplicity 4)
Se 0.1906 0.0000 0.5533 (multiplicity 4)

***

# Hf5Ta
Theoretical powder XRD pattern, CuKα. Input: DFT lattice parameters and positions (GGA-PBE).
Neutral-atom scattering factors, no anomalous dispersion.

Main lines, by angle (2θ = 10–90°):
| 2θ/deg | I (rel.) |
| --- | --- |
| 32.8 | 24 |
| 35.8 | 25 |
| 37.5 | 100 |
| 49.3 | 15 |
| 58.5 | 18 |
| 65.4 | 20 |
| 68.7 | 3 |
| 70.5 | 21 |
| 71.6 | 15 |
| 75.8 | 3 |
| 80.0 | 4 |
| 85.0 | 3 |

Crystal structure
Cell: 5.4638 5.4638 5.0225 Å, 90.00 90.00 120.00°
Space group P-62m (No. 189)
Inequivalent atoms, fractional coordinates:
Hf 0.0000 0.6780 0.0000 (multiplicity 3)
Hf 0.3333 0.6667 0.5000 (multiplicity 2)
Ta 0.0000 0.0000 0.5000 (multiplicity 1)

***

# NdGdGa2Au2
Theoretical powder XRD pattern, CuKα. Input: DFT lattice parameters and positions (GGA-PBE).
Neutral-atom scattering factors, no anomalous dispersion.

Main lines, by angle (2θ = 10–90°):
| 2θ/deg | I (rel.) |
| --- | --- |
| 22.4 | 17 |
| 24.3 | 5 |
| 33.3 | 100 |
| 39.3 | 63 |
| 46.8 | 6 |
| 49.8 | 9 |
| 52.5 | 28 |
| 65.3 | 24 |
| 67.5 | 26 |
| 71.3 | 11 |
| 82.8 | 6 |
| 84.6 | 7 |

Crystal structure
Cell: 4.5808 4.5808 7.3184 Å, 90.00 90.00 120.00°
Space group P-6m2 (No. 187)
Inequivalent atoms, fractional coordinates:
Nd 0.0000 0.0000 0.0000 (multiplicity 1)
Gd 0.0000 0.0000 0.5000 (multiplicity 1)
Ga 0.3333 0.6667 0.2274 (multiplicity 2)
Au 0.6667 0.3333 0.2709 (multiplicity 2)

***

# AcTaO3
Theoretical powder XRD pattern, CuKα. Input: DFT lattice parameters and positions (GGA-PBE).
Neutral-atom scattering factors, no anomalous dispersion.

Main lines, by angle (2θ = 10–90°):
| 2θ/deg | I (rel.) |
| --- | --- |
| 30.7 | 100 |
| 31.3 | 96 |
| 44.4 | 50 |
| 54.6 | 21 |
| 55.0 | 41 |
| 56.1 | 19 |
| 64.0 | 16 |
| 65.3 | 16 |
| 72.9 | 18 |
| 73.9 | 18 |
| 88.9 | 11 |
| 89.3 | 12 |

Crystal structure
Cell: 5.8227 5.8227 13.8660 Å, 90.00 90.00 120.00°
Space group R-3c (No. 167, hexagonal axes)
Inequivalent atoms, fractional coordinates:
Ac 0.0000 0.0000 0.2500 (multiplicity 6)
Ta 0.0000 0.0000 0.0000 (multiplicity 6)
O 0.0000 0.4720 0.2500 (multiplicity 18)